# 1
Starting from the PBE geometry in the Materials Project, the powder diffraction line list of UH3 was simulated for copper Kα.
Neutral-atom scattering factors, no anomalous dispersion.

Atomic structure:
Cell: 6.599 6.599 6.599 Å, 90.00 90.00 90.00°
Space group Pm-3n (No. 223)
Unique sites:
U1 0.000 0.000 0.000 (multiplicity 2)
U2 0.000 0.250 0.500 (multiplicity 6)
H1 0.000 0.305 0.155 (multiplicity 24)

Principal peaks in the range 2θ from 5° to 70°, in order of rising 2θ:
2θ (°)  I/Imax  h k l
27.0  34  2 0 0
30.3  100  2 1 0
33.3  79  2 1 1
49.8  27  3 2 0
51.8  47  3 2 1
55.7  19  4 0 0
63.0  13  4 2 0
64.7  25  4 2 1


# 2
Starting from the PBE geometry in the Materials Project, the powder diffraction line list of CsAs2Se3 was simulated for copper Kα.
Neutral-atom scattering factors, no anomalous dispersion.

Atomic structure:
Cell: 15.077 7.659 13.678 Å, 90.00 90.00 90.00°
Space group Pnma (No. 62)
Unique sites:
Cs1 0.078 0.250 0.095 (multiplicity 4)
Cs2 0.094 0.750 0.584 (multiplicity 4)
As1 0.015 0.750 0.277 (multiplicity 4)
As2 0.212 0.750 0.934 (multiplicity 4)
As3 0.243 0.583 0.229 (multiplicity 8)
Se1 0.095 0.250 0.599 (multiplicity 4)
Se2 0.112 0.750 0.070 (multiplicity 4)
Se3 0.114 0.514 0.334 (multiplicity 8)
Se4 0.143 0.008 0.856 (multiplicity 8)

Principal peaks in the range 2θ from 5° to 70°, in order of rising 2θ:
2θ (°)  I/Imax  h k l
22.7  40  0 1 3
26.1  26  0 0 4
26.7  37  0 2 2
27.3  49  1 2 2
31.6  54  3 0 4
32.2  100  3 2 2
35.4  32  4 0 4
46.4  26  0 2 6


# 3
Starting from the PBE geometry in the Materials Project, the powder diffraction line list of K2Tc3Se6 was simulated for copper Kα.
Neutral-atom scattering factors, no anomalous dispersion.

Atomic structure:
Cell: 17.468 10.204 12.536 Å, 90.00 91.50 90.00°
Space group C2/c (No. 15)
Unique sites:
K1 0.000 0.103 0.250 (multiplicity 4)
K2 0.000 0.283 0.750 (multiplicity 4)
K3 0.115 0.263 0.019 (multiplicity 8)
Tc1 0.160 0.344 0.473 (multiplicity 8)
Tc2 0.208 0.180 0.626 (multiplicity 8)
Tc3 0.210 0.108 0.420 (multiplicity 8)
Se1 0.032 0.465 0.419 (multiplicity 8)
Se2 0.085 0.137 0.519 (multiplicity 8)
Se3 0.148 0.089 0.806 (multiplicity 8)
Se4 0.163 0.411 0.666 (multiplicity 8)
Se5 0.166 0.273 0.281 (multiplicity 8)
Se6 0.243 0.460 0.929 (multiplicity 8)

Principal peaks in the range 2θ from 5° to 70°, in order of rising 2θ:
2θ (°)  I/Imax  h k l
10.1  100  2 0 0
12.2  81  1 1 -1
12.4  93  1 1 1
29.7  19  2 2 3
31.2  26  3 3 -1
43.0  18  2 4 3
44.9  28  4 2 -5
46.0  19  8 2 1


# 4
Starting from the PBE geometry in the Materials Project, the powder diffraction line list of ErAsS was simulated for copper Kα.
Neutral-atom scattering factors, no anomalous dispersion.

Atomic structure:
Cell: 16.954 3.807 3.821 Å, 90.00 90.00 90.00°
Space group Pnma (No. 62)
Unique sites:
Er1 0.146 0.250 0.221 (multiplicity 4)
As1 0.001 0.250 0.722 (multiplicity 4)
S1 0.187 0.750 0.721 (multiplicity 4)

Principal peaks in the range 2θ from 5° to 70°, in order of rising 2θ:
2θ (°)  I/Imax  h k l
25.6  98  2 1 0
31.7  38  6 0 0
33.2  20  0 1 1
34.9  49  2 1 1
39.6  100  4 1 1
47.8  19  0 2 0
49.2  19  8 1 0
65.0  18  10 1 1


# 5
Starting from the PBE geometry in the Materials Project, the powder diffraction line list of CsAgPSe3 was simulated for copper Kα.
Neutral-atom scattering factors, no anomalous dispersion.

Atomic structure:
Cell: 6.965 12.743 10.567 Å, 90.00 123.99 90.00°
Space group P2_1/c (No. 14)
Unique sites:
Cs1 0.236 0.169 0.485 (multiplicity 4)
Ag1 0.182 0.559 0.638 (multiplicity 4)
P1 0.350 0.540 0.388 (multiplicity 4)
Se1 0.073 0.080 0.755 (multiplicity 4)
Se2 0.241 0.678 0.459 (multiplicity 4)
Se3 0.493 0.589 0.256 (multiplicity 4)

Principal peaks in the range 2θ from 5° to 70°, in order of rising 2θ:
2θ (°)  I/Imax  h k l
12.3  20  0 1 1
24.7  33  0 2 2
26.7  100  1 2 1
29.0  22  1 2 -3
29.7  21  2 1 -3
30.9  43  1 4 -1
47.6  18  0 6 2
48.8  19  3 4 -3


# 6
Starting from the PBE geometry in the Materials Project, the powder diffraction line list of Nd2CuSi3Rh2 was simulated for copper Kα.
Neutral-atom scattering factors, no anomalous dispersion.

Atomic structure:
Cell: 4.125 4.241 17.080 Å, 90.00 90.00 90.00°
Space group Amm2 (No. 38)
Unique sites:
Nd1 0.000 0.000 0.000 (multiplicity 2)
Nd2 0.500 0.000 0.212 (multiplicity 2)
Cu1 0.500 0.000 0.440 (multiplicity 2)
Si1 0.000 0.000 0.645 (multiplicity 2)
Si2 0.000 0.000 0.789 (multiplicity 2)
Si3 0.500 0.000 0.573 (multiplicity 2)
Rh1 0.000 0.000 0.352 (multiplicity 2)
Rh2 0.500 0.000 0.853 (multiplicity 2)

Principal peaks in the range 2θ from 5° to 70°, in order of rising 2θ:
2θ (°)  I/Imax  h k l
10.4  35  0 0 2
24.0  14  1 0 2
33.7  27  0 1 5
34.2  100  1 1 3
40.3  21  1 1 5
42.6  23  0 2 0
43.9  21  2 0 0
62.9  14  2 2 0


# 7
Starting from the PBE geometry in the Materials Project, the powder diffraction line list of VAu was simulated for copper Kα.
Neutral-atom scattering factors, no anomalous dispersion.

Atomic structure:
Cell: 2.8208 2.8208 13.8333 Å, 90.00 90.00 120.00°
Space group R-3m (No. 166, hexagonal axes)
Unique sites:
V1 0.0000 0.0000 0.0000 (multiplicity 3)
Au1 0.0000 0.0000 0.5000 (multiplicity 3)

Principal peaks in the range 2θ from 5° to 70°, in order of rising 2θ:
2θ (°)  I/Imax  h k l
19.2  49  0 0 3
37.4  30  1 0 1
39.1  100  0 1 2
45.5  49  1 0 4
49.8  14  0 1 5
60.2  11  1 0 7
66.2  31  1 1 0
69.7  11  1 1 3


# 8
Starting from the PBE geometry in the Materials Project, the powder diffraction line list of EuNbNO2 was simulated for copper Kα.
Neutral-atom scattering factors, no anomalous dispersion.

Atomic structure:
Cell: 4.054 4.054 4.105 Å, 90.00 90.00 90.00°
Space group P4/mmm (No. 123)
Unique sites:
Eu1 0.000 0.000 0.000 (multiplicity 1)
Nb1 0.500 0.500 0.500 (multiplicity 1)
N1 0.500 0.500 0.000 (multiplicity 1)
O1 0.000 0.500 0.500 (multiplicity 2)

Principal peaks in the range 2θ from 5° to 70°, in order of rising 2θ:
2θ (°)  I/Imax  h k l
31.0  100  1 0 1
31.2  47  1 1 0
38.3  11  1 1 1
44.1  15  0 0 2
44.7  28  2 0 0
55.0  19  1 1 2
55.4  39  2 1 1
64.6  18  2 0 2


# 9
Starting from the PBE geometry in the Materials Project, the powder diffraction line list of BeSiP2 was simulated for copper Kα.
Neutral-atom scattering factors, no anomalous dispersion.

Atomic structure:
Cell: 5.901 5.901 5.901 Å, 90.00 90.00 90.00°
Space group Fm-3m (No. 225)
Unique sites:
Be1 0.000 0.000 0.000 (multiplicity 4)
Si1 0.000 0.000 0.500 (multiplicity 4)
P1 0.250 0.250 0.250 (multiplicity 8)

Principal peaks in the range 2θ from 5° to 70°, in order of rising 2θ:
2θ (°)  I/Imax  h k l
26.2  16  1 1 1
30.3  11  2 0 0
43.4  100  2 2 0
51.4  7  3 1 1
53.8  2  2 2 2
63.0  16  4 0 0
69.4  3  3 3 1